The following is a computed powder X-ray diffraction pattern of Tm2Re2N7. It was derived from a GGA-PBE-relaxed structure, using Cu Kα X-rays.
Intensities are scaled so that the largest is 100.

Cell lengths 5.9597, 5.9597, 5.2087 Å; angles 97.70, 97.70, 106.69 degrees
Sites, in units of the cell vectors:
Tm1 0.1910 0.8090 0.0000
Tm2 0.8090 0.1910 0.0000
Re1 0.2707 0.2707 0.6046
Re2 0.7293 0.7293 0.3954
N1 0.0941 0.0941 0.2846
N2 0.1057 0.4187 0.7954
N3 0.4187 0.1057 0.7954
N4 0.5000 0.5000 0.5000
N5 0.5813 0.8943 0.2046
N6 0.8943 0.5813 0.2046
N7 0.9059 0.9059 0.7154

Main lines, by angle (2θ = 10–90°):
d_spacing  Rel. int.
3.480  100.0
3.465  50.6
3.219  58.2
2.896  21.7
2.807  54.9
2.624  24.8
1.826  26.3
1.657  28.4

---

The following is a computed powder X-ray diffraction pattern of ReWN3. It was derived from a GGA-PBE-relaxed structure, using Cu Kα X-rays.
Intensities are scaled so that the largest is 100.

Cell lengths 3.8901, 8.0494, 8.5446 Å; angles 107.81, 91.13, 102.04 degrees
Sites, in units of the cell vectors:
Re1 0.1357 0.3758 0.3755
Re2 0.2901 0.9437 0.8011
Re3 0.7099 0.0563 0.1989
Re4 0.8643 0.6242 0.6245
W1 0.0144 0.6923 0.3303
W2 0.1369 0.2457 0.0386
W3 0.8631 0.7543 0.9614
W4 0.9856 0.3077 0.6697
N1 0.1828 0.4892 0.1699
N2 0.1922 0.1758 0.7792
N3 0.2033 0.8239 0.5482
N4 0.2496 0.1528 0.2279
N5 0.3039 0.5117 0.6206
N6 0.3834 0.8447 0.0092
N7 0.6166 0.1553 0.9908
N8 0.6961 0.4883 0.3794
N9 0.7504 0.8472 0.7721
N10 0.7967 0.1761 0.4518
N11 0.8078 0.8242 0.2208
N12 0.8172 0.5108 0.8301

Main lines, by angle (2θ = 10–90°):
d_spacing  Rel. int.
6.639  100.0
3.789  65.2
3.487  30.8
3.108  35.5
3.021  78.6
2.618  63.4
2.316  30.1
2.299  51.1